1.
This entry pairs a crystal structure of Li6AsS5I with its calculated PXRD pattern. Radiation: λ = 1.5418 Å (Cu Kα). Structure: a PBE-relaxed structure.
Intensities are scaled so that the largest is 100.

Most intense lines, 5° ≤ 2θ ≤ 70°, by angle:
17.12 deg, intensity 100, (1 1 1); 24.23 deg, intensity 87, (2 0 2); 24.37 deg, intensity 84, (0 2 0); 28.60 deg, intensity 43, (3 1 -3); 29.93 deg, intensity 55, (4 0 0); 42.88 deg, intensity 32, (6 0 -2)

Atomic structure:
Cell lengths 12.642, 7.310, 12.734 Å; angles 90.00, 109.09, 90.00 degrees
Space group Cc (No. 9)
Asymmetric unit:
Li  0.000  0.023  0.000 [4 per cell]
Li  0.000  0.156  0.778 [4 per cell]
Li  0.221  0.416  0.280 [4 per cell]
Li  0.287  0.253  0.517 [4 per cell]
Li  0.325  0.029  0.778 [4 per cell]
Li  0.499  0.026  0.508 [4 per cell]
As  0.262  0.251  0.017 [4 per cell]
S  0.201  0.491  0.083 [4 per cell]
S  0.202  0.255  0.836 [4 per cell]
S  0.203  0.005  0.081 [4 per cell]
S  0.386  0.247  0.388 [4 per cell]
S  0.446  0.254  0.080 [4 per cell]
I  0.008  0.245  0.265 [4 per cell]

2.
This entry pairs a crystal structure of Ba4CeRu3O12 with its calculated PXRD pattern. Radiation: λ = 1.5418 Å (Cu Kα). Structure: a PBE-relaxed structure.
Intensities are scaled so that the largest is 100.

Most intense lines, 5° ≤ 2θ ≤ 70°, by angle:
26.88 deg, intensity 22, (2 0 -7); 27.25 deg, intensity 42, (1 1 7); 30.01 deg, intensity 100, (3 1 0); 40.71 deg, intensity 25, (2 2 -7); 53.28 deg, intensity 20, (3 3 0); 62.36 deg, intensity 18, (0 4 0)

Atomic structure:
Cell lengths 10.316, 5.957, 29.859 Å; angles 90.00, 91.06, 90.00 degrees
Space group C2/m (No. 12)
Asymmetric unit:
Ba  0.002  0.000  0.216 [4 per cell]
Ba  0.002  0.000  0.368 [4 per cell]
Ba  0.163  0.500  0.116 [4 per cell]
Ba  0.165  0.500  0.704 [4 per cell]
Ba  0.167  0.500  0.964 [4 per cell]
Ba  0.168  0.500  0.550 [4 per cell]
Ce  0.000  0.000  0.500 [2 per cell]
Ce  0.168  0.500  0.833 [4 per cell]
Ru  0.000  0.000  0.000 [2 per cell]
Ru  0.006  0.000  0.914 [4 per cell]
Ru  0.163  0.500  0.419 [4 per cell]
Ru  0.168  0.500  0.334 [4 per cell]
Ru  0.171  0.500  0.248 [4 per cell]
O  0.010  0.500  0.374 [4 per cell]
O  0.016  0.500  0.207 [4 per cell]
O  0.075  0.231  0.044 [8 per cell]
O  0.081  0.262  0.455 [8 per cell]
O  0.090  0.239  0.879 [8 per cell]
O  0.091  0.268  0.290 [8 per cell]
O  0.146  0.000  0.127 [4 per cell]
O  0.158  0.000  0.960 [4 per cell]
O  0.176  0.000  0.707 [4 per cell]
O  0.182  0.000  0.541 [4 per cell]
O  0.243  0.268  0.377 [8 per cell]
O  0.246  0.238  0.788 [8 per cell]

3.
This entry pairs a crystal structure of AlHO2 with its calculated PXRD pattern. Radiation: λ = 1.5418 Å (Cu Kα). Structure: a PBE-relaxed structure.
Intensities are scaled so that the largest is 100.

Most intense lines, 5° ≤ 2θ ≤ 70°, by angle:
13.49 deg, intensity 100, (0 0 1); 25.62 deg, intensity 32, (0 1 1); 36.32 deg, intensity 20, (1 0 -1); 36.94 deg, intensity 17, (1 0 2); 46.62 deg, intensity 17, (1 0 3); 49.04 deg, intensity 17, (0 2 1)

Atomic structure:
Cell lengths 2.963, 3.738, 6.804 Å; angles 80.25, 78.36, 89.64 degrees
Space group P1 (No. 1)
Asymmetric unit:
Al  0.000  0.000  0.000 [1 per cell]
Al  0.329  0.409  0.310 [1 per cell]
H  0.659  0.240  0.646 [1 per cell]
H  0.968  0.894  0.407 [1 per cell]
O  0.247  0.912  0.295 [1 per cell]
O  0.561  0.047  0.863 [1 per cell]
O  0.733  0.347  0.491 [1 per cell]
O  0.903  0.470  0.113 [1 per cell]

4.
This entry pairs a crystal structure of TeMoWSeS2 with its calculated PXRD pattern. Radiation: λ = 1.5418 Å (Cu Kα). Structure: a PBE-relaxed structure.
Intensities are scaled so that the largest is 100.

Most intense lines, 5° ≤ 2θ ≤ 70°, by angle:
7.04 deg, intensity 89, (0 0 3); 11.75 deg, intensity 100, (0 0 5); 31.22 deg, intensity 38, (1 0 0); 36.70 deg, intensity 79, (1 0 8); 44.46 deg, intensity 41, (0 1 13); 55.53 deg, intensity 27, (1 1 0)

Atomic structure:
Cell lengths 3.3104, 3.3104, 37.6577 Å; angles 90.00, 90.00, 120.00 degrees
Space group P3m1 (No. 156)
Asymmetric unit:
Te  0.0000  0.0000  0.0000 [1 per cell]
Te  0.0000  0.0000  0.1022 [1 per cell]
Mo  0.0000  0.0000  0.2390 [1 per cell]
Mo  0.0000  0.0000  0.8632 [1 per cell]
W  0.3333  0.6667  0.0511 [1 per cell]
W  0.3333  0.6667  0.4268 [1 per cell]
Se  0.0000  0.0000  0.3820 [1 per cell]
Se  0.0000  0.0000  0.4717 [1 per cell]
S  0.3333  0.6667  0.1984 [1 per cell]
S  0.3333  0.6667  0.2796 [1 per cell]
S  0.3333  0.6667  0.8227 [1 per cell]
S  0.3333  0.6667  0.9038 [1 per cell]

5.
This entry pairs a crystal structure of CeSe2 with its calculated PXRD pattern. Radiation: λ = 1.5418 Å (Cu Kα). Structure: a PBE-relaxed structure.
Intensities are scaled so that the largest is 100.

Most intense lines, 5° ≤ 2θ ≤ 70°, by angle:
12.82 deg, intensity 100, (1 0 1); 18.26 deg, intensity 13, (1 0 2); 20.90 deg, intensity 19, (2 0 0); 27.89 deg, intensity 11, (2 1 2); 32.49 deg, intensity 11, (3 0 1); 48.53 deg, intensity 12, (1 1 6)

Atomic structure:
Cell lengths 8.501, 8.501, 11.841 Å; angles 90.00, 90.00, 90.00 degrees
Space group P4_12_12 (No. 92)
Asymmetric unit:
Ce  0.200  0.200  0.000 [4 per cell]
Se  0.099  0.755  0.424 [8 per cell]

6.
This entry pairs a crystal structure of PmCd3 with its calculated PXRD pattern. Radiation: λ = 1.5418 Å (Cu Kα). Structure: a PBE-relaxed structure.
Intensities are scaled so that the largest is 100.

Most intense lines, 5° ≤ 2θ ≤ 70°, by angle:
21.09 deg, intensity 1, (1 1 1); 24.39 deg, intensity 1, (2 0 0); 34.77 deg, intensity 100, (2 2 0); 41.02 deg, intensity 1, (3 1 1); 49.99 deg, intensity 17, (4 0 0); 62.33 deg, intensity 35, (4 2 2)

Atomic structure:
Cell lengths 7.298, 7.298, 7.298 Å; angles 90.00, 90.00, 90.00 degrees
Space group Fm-3m (No. 225)
Asymmetric unit:
Pm  0.000  0.000  0.000 [4 per cell]
Cd  0.000  0.000  0.500 [4 per cell]
Cd  0.250  0.250  0.250 [8 per cell]

7.
This entry pairs a crystal structure of NdPO4 with its calculated PXRD pattern. Radiation: λ = 1.5418 Å (Cu Kα). Structure: a PBE-relaxed structure.
Intensities are scaled so that the largest is 100.

Most intense lines, 5° ≤ 2θ ≤ 70°, by angle:
21.15 deg, intensity 47, (1 1 0); 26.82 deg, intensity 59, (0 0 2); 28.69 deg, intensity 100, (0 2 1); 31.24 deg, intensity 86, (2 1 -2); 46.20 deg, intensity 32, (2 1 -4); 52.50 deg, intensity 28, (2 3 -3)

Atomic structure:
Cell lengths 6.454, 7.042, 8.201 Å; angles 90.00, 125.83, 90.00 degrees
Space group P2_1/c (No. 14)
Asymmetric unit:
Nd  0.187  0.157  0.284 [4 per cell]
P  0.308  0.661  0.197 [4 per cell]
O  0.117  0.669  0.618 [4 per cell]
O  0.188  0.504  0.250 [4 per cell]
O  0.339  0.601  0.030 [4 per cell]
O  0.415  0.211  0.125 [4 per cell]